# Nd2AlBPt6
Calculated powder diffraction line list, Cu Kα (λ = 1.5418 Å). Input: a crystal structure in Alexandria, relaxed with PBE.
Kinematic intensities with the Lorentz-polarization factor, no thermal factor.

Peak list (12 most intense, 10° ≤ 2θ ≤ 80°, sorted by position)
Position (°2θ), Rel. int.
16.75, 8.2
27.34, 6.5
33.86, 18.7
35.01, 100.0
40.44, 10.3
43.71, 32.7
46.23, 10.4
56.41, 17.2
61.33, 8.2
63.53, 10.8
73.97, 7.5
74.65, 21.6

Structure:
```
Nd2AlBPt6
1.0
-2.9288 2.9288 5.2943
2.9288 -2.9288 5.2943
2.9288 2.9288 -5.2943
Nd Al B Pt
2 1 1 6
Direct
0.0000 0.5000 0.5000 Nd
0.5000 0.0000 0.5000 Nd
0.1488 0.1488 0.0000 Al
0.6411 0.6411 0.0000 B
0.4411 0.4411 0.0000 Pt
0.5101 0.5101 0.5246 Pt
0.5101 0.9855 0.0000 Pt
0.9299 0.9299 0.0000 Pt
0.9855 0.5101 0.0000 Pt
0.9855 0.9855 0.4754 Pt
```